# 1
Starting from a structure optimized by DFT (PBE), the powder X-ray diffraction pattern of Na4MgScP3O12 was computed for copper Kα.

Cell and atoms:
Lattice parameters (Å, degrees): 9.0711 9.0711 22.1748 90.00 90.00 120.00
Space group R3c (No. 161, hexagonal axes)
Symmetry-distinct sites (fractional):
Na: 0.0000 0.0000 0.0000
Na: 0.0348 0.3386 0.0843
Mg: 0.0000 0.0000 0.3522
Sc: 0.0000 0.0000 0.1528
P: 0.0382 0.3698 0.9205
O: 0.0171 0.1893 0.9144
O: 0.0278 0.2127 0.1969
O: 0.1478 0.4543 0.9763
O: 0.1621 0.4757 0.2572

Main lines, in order of rising 2θ (2θ = 10–80°):
d_spacing	I/Imax	h k l
4.530	21	1 0 4
3.866	53	1 1 3
3.696	28	0 0 6
2.943	34	2 1 1
2.865	100	1 1 6
2.619	53	3 0 0
2.168	25	2 2 3
1.933	42	2 2 6
1.555	23	4 1 6
1.510	23	0 3 12

***

# 2
Starting from a structure optimized by DFT (PBE), the powder X-ray diffraction pattern of MgTe4Mo2W2Se2S2 was computed for copper Kα.

Cell and atoms:
Lattice parameters (Å, degrees): 3.3943 3.3943 45.2704 90.00 90.00 120.00
Space group P3m1 (No. 156)
Symmetry-distinct sites (fractional):
Mg: 0.0000 0.0000 0.0000
Te: 0.3333 0.6667 0.2440
Te: 0.3333 0.6667 0.3273
Te: 0.6667 0.3333 0.6804
Te: 0.6667 0.3333 0.7633
Mo: 0.3333 0.6667 0.7219
Mo: 0.6667 0.3333 0.9049
W: 0.3333 0.6667 0.1053
W: 0.6667 0.3333 0.2857
Se: 0.3333 0.6667 0.8686
Se: 0.3333 0.6667 0.9420
S: 0.6667 0.3333 0.0720
S: 0.6667 0.3333 0.1385

Main lines, in order of rising 2θ (2θ = 10–80°):
d_spacing	I/Imax	h k l
7.545	46	0 0 6
2.938	59	1 0 0
2.796	31	1 0 5
2.609	85	0 1 8
2.465	43	1 0 10
2.246	100	1 0 13
2.175	22	0 1 14
2.106	27	1 0 15
1.697	41	1 1 0
1.668	20	1 1 5

***

# 3
Starting from a structure optimized by DFT (PBE), the powder X-ray diffraction pattern of Mo6OsRu was computed for copper Kα.

Cell and atoms:
Lattice parameters (Å, degrees): 5.0024 5.0024 5.0024 90.00 90.00 90.00
Space group Pm-3 (No. 200)
Symmetry-distinct sites (fractional):
Mo: 0.0000 0.2499 0.5000
Os: 0.0000 0.0000 0.0000
Ru: 0.5000 0.5000 0.5000

Main lines, in order of rising 2θ (2θ = 10–80°):
d_spacing	I/Imax	h k l
5.002	7	1 0 0
3.537	8	1 1 0
2.888	3	1 1 1
2.501	46	2 0 0
2.237	89	2 1 0
2.042	100	2 1 1
1.444	4	2 2 2
1.387	19	3 0 2
1.337	50	3 1 2
1.251	16	4 0 0

***

# 4
Starting from a structure optimized by DFT (PBE), the powder X-ray diffraction pattern of SnP3O9 was computed for copper Kα.

Cell and atoms:
Lattice parameters (Å, degrees): 8.8494 8.9494 9.0989 90.00 90.00 90.00
Space group P2_12_12_1 (No. 19)
Symmetry-distinct sites (fractional):
Sn: 0.1273 0.1434 0.3459
P: 0.0326 0.6753 0.8112
P: 0.1959 0.1944 0.9369
P: 0.1959 0.5181 0.3123
O: 0.0424 0.2167 0.8430
O: 0.0866 0.1188 0.5841
O: 0.1098 0.3929 0.3846
O: 0.1253 0.5958 0.1817
O: 0.1269 0.8067 0.8601
O: 0.1393 0.5384 0.7598
O: 0.1506 0.1592 0.0912
O: 0.1946 0.9049 0.3555
O: 0.2370 0.6374 0.4383

Main lines, in order of rising 2θ (2θ = 10–80°):
d_spacing	I/Imax	h k l
6.359	18	1 0 1
5.175	36	1 1 1
4.047	100	1 0 2
3.992	82	1 2 0
3.966	40	2 1 0
3.636	24	2 1 1
2.872	30	0 1 3
2.828	38	1 3 0
2.806	31	3 0 1
2.386	21	2 3 1

***

# 5
Starting from a structure optimized by DFT (PBE), the powder X-ray diffraction pattern of La21Fe8Sn7C12 was computed for copper Kα.

Cell and atoms:
Lattice parameters (Å, degrees): 16.4665 16.4665 16.4665 90.00 90.00 90.00
Space group Fm-3m (No. 225)
Symmetry-distinct sites (fractional):
La: 0.0000 0.0000 0.0000
La: 0.0000 0.1699 0.3301
La: 0.1353 0.1353 0.1353
Fe: 0.1962 0.1962 0.3038
Sn: 0.0000 0.0000 0.2107
Sn: 0.0000 0.0000 0.5000
C: 0.1101 0.2500 0.2500

Main lines, in order of rising 2θ (2θ = 10–80°):
d_spacing	I/Imax	h k l
3.169	100	3 3 3
2.911	38	4 4 0
2.783	63	5 3 1
2.744	78	6 0 0
2.144	28	5 5 3
1.941	34	6 6 0
1.681	21	8 4 4
1.655	20	9 3 3
1.439	16	9 5 5
1.259	17	9 9 3